Record 1
Computed X-ray powder pattern of LaMg6Fe for Cu Kα (λ = 1.5418 Å), from a DFT-relaxed cell (PBE, the Materials Project).
Peak positions follow from Bragg's law for the DFT cell and can differ from measured ones.

```
data_LaMg6Fe
_chemical_formula_sum 'La2 Mg12 Fe2'
_cell_length_a 4.824
_cell_length_b 6.346
_cell_length_c 11.767
_cell_angle_alpha 90.00
_cell_angle_beta 90.00
_cell_angle_gamma 90.00
_symmetry_space_group_name_H-M 'A m m 2'
_symmetry_Int_Tables_number 38
loop_
_symmetry_equiv_pos_as_xyz
'x,y,z'
'-x,-y,z'
'-x,y,z'
'x,-y,z'
'x,y+1/2,z+1/2'
'-x,-y+1/2,z+1/2'
'-x,y+1/2,z+1/2'
'x,-y+1/2,z+1/2'
loop_
_atom_site_label
_atom_site_fract_x
_atom_site_fract_y
_atom_site_fract_z
_atom_site_occupancy
La1 0.000 0.000 0.000 1
Mg1 0.000 0.000 0.454 1
Mg2 0.000 0.249 0.225 1
Mg3 0.500 0.000 0.617 1
Mg4 0.500 0.244 0.362 1
Fe1 0.500 0.000 0.118 1
```

Peak list (10 most intense, 2θ = 15–90°, sorted by position)
| two_theta | I (rel.) | index |
| --- | --- | --- |
| 15.06 | 317 | 0 0 2 |
| 15.87 | 840 | 0 1 1 |
| 23.85 | 218 | 1 0 2 |
| 24.38 | 257 | 1 1 1 |
| 32.05 | 487 | 0 2 2 |
| 32.63 | 293 | 1 1 3 |
| 35.75 | 654 | 1 0 4 |
| 37.22 | 1000 | 2 0 0 |
| 49.96 | 272 | 2 2 2 |
| 58.55 | 186 | 1 2 6 |

Record 2
Computed X-ray powder pattern of LiCuP3O9 for Cu Kα (λ = 1.5418 Å), from a DFT-relaxed cell (PBE, the Materials Project).
Peak positions follow from Bragg's law for the DFT cell and can differ from measured ones.

```
data_LiCuP3O9
_chemical_formula_sum 'Li4 Cu4 P12 O36'
_cell_length_a 9.051
_cell_length_b 7.121
_cell_length_c 12.111
_cell_angle_alpha 90.00
_cell_angle_beta 90.00
_cell_angle_gamma 90.00
_symmetry_space_group_name_H-M 'P n m a'
_symmetry_Int_Tables_number 62
loop_
_symmetry_equiv_pos_as_xyz
'x,y,z'
'-x,-y,-z'
'-x+1/2,-y,z+1/2'
'x+1/2,y,-z+1/2'
'x+1/2,-y+1/2,-z+1/2'
'-x+1/2,y+1/2,z+1/2'
'-x,y+1/2,-z'
'x,-y+1/2,z'
loop_
_atom_site_label
_atom_site_fract_x
_atom_site_fract_y
_atom_site_fract_z
_atom_site_occupancy
Li1 0.030 0.250 0.038 1
Cu1 0.012 0.750 0.210 1
P1 0.190 0.250 0.532 1
P2 0.244 0.040 0.339 1
O1 0.089 0.250 0.628 1
O2 0.115 0.059 0.873 1
O3 0.145 0.750 0.045 1
O4 0.147 0.536 0.250 1
O5 0.148 0.075 0.450 1
O6 0.206 0.750 0.801 1
```

Peak list (10 most intense, 2θ = 15–90°, sorted by position)
| two_theta | I (rel.) | index |
| --- | --- | --- |
| 17.46 | 1000 | 1 1 1 |
| 17.62 | 593 | 1 0 2 |
| 24.14 | 203 | 1 0 3 |
| 24.44 | 738 | 2 1 1 |
| 27.61 | 112 | 2 1 2 |
| 30.76 | 434 | 1 2 2 |
| 31.98 | 231 | 2 2 0 |
| 32.26 | 167 | 2 1 3 |
| 35.33 | 292 | 2 2 2 |
| 42.31 | 146 | 2 0 5 |

Record 3
Computed X-ray powder pattern of BeInO3 for Cu Kα (λ = 1.5418 Å), from a DFT-relaxed cell (PBE, the Materials Project).
Peak positions follow from Bragg's law for the DFT cell and can differ from measured ones.

```
data_BeInO3
_chemical_formula_sum 'Be1 In1 O3'
_cell_length_a 3.557
_cell_length_b 3.557
_cell_length_c 3.557
_cell_angle_alpha 90.00
_cell_angle_beta 90.00
_cell_angle_gamma 90.00
_symmetry_space_group_name_H-M 'P m -3 m'
_symmetry_Int_Tables_number 221
_symmetry_space_group_name_Hall '-P 4 2 3'
loop_
_atom_site_label
_atom_site_fract_x
_atom_site_fract_y
_atom_site_fract_z
_atom_site_occupancy
Be1 0.000 0.000 0.000 1
In1 0.500 0.500 0.500 1
O1 0.000 0.000 0.500 1
```

Peak list (9 most intense, 2θ = 15–90°, sorted by position)
| two_theta | I (rel.) | index |
| --- | --- | --- |
| 25.04 | 945 | 1 0 0 |
| 35.70 | 1000 | 1 1 0 |
| 44.10 | 797 | 1 1 1 |
| 51.38 | 419 | 2 0 0 |
| 57.98 | 394 | 2 1 0 |
| 64.14 | 366 | 2 1 1 |
| 75.63 | 236 | 2 2 0 |
| 81.13 | 191 | 3 0 0 |
| 86.54 | 168 | 3 1 0 |

Record 4
Computed X-ray powder pattern of Ho4Ni13C4 for Cu Kα (λ = 1.5418 Å), from a DFT-relaxed cell (PBE, the Materials Project).
Peak positions follow from Bragg's law for the DFT cell and can differ from measured ones.

```
data_Ho4Ni13C4
_chemical_formula_sum 'Ho8 Ni26 C8'
_cell_length_a 11.659
_cell_length_b 11.916
_cell_length_c 3.835
_cell_angle_alpha 90.00
_cell_angle_beta 90.00
_cell_angle_gamma 90.00
_symmetry_space_group_name_H-M 'C m m m'
_symmetry_Int_Tables_number 65
_symmetry_space_group_name_Hall '-C 2 2'
loop_
_atom_site_label
_atom_site_fract_x
_atom_site_fract_y
_atom_site_fract_z
_atom_site_occupancy
Ho1 0.000 0.187 0.000 1
Ho2 0.151 0.500 0.000 1
Ni1 0.000 0.000 0.500 1
Ni2 0.107 0.323 0.500 1
Ni3 0.124 0.000 0.000 1
Ni4 0.183 0.108 0.500 1
Ni5 0.250 0.250 0.000 1
C1 0.000 0.443 0.500 1
C2 0.250 0.250 0.500 1
```

Peak list (10 most intense, 2θ = 15–90°, sorted by position)
| two_theta | I (rel.) | index |
| --- | --- | --- |
| 33.37 | 766 | 1 3 1 |
| 33.68 | 403 | 3 1 1 |
| 34.25 | 294 | 4 2 0 |
| 38.26 | 461 | 0 4 1 |
| 41.39 | 214 | 2 4 1 |
| 41.77 | 1000 | 4 2 1 |
| 44.60 | 389 | 3 5 0 |
| 45.09 | 223 | 5 3 0 |
| 47.41 | 454 | 0 0 2 |
| 67.12 | 224 | 3 5 2 |

Record 5
Computed X-ray powder pattern of CeSb2Se4 for Cu Kα (λ = 1.5418 Å), from a DFT-relaxed cell (PBE, the Materials Project).
Peak positions follow from Bragg's law for the DFT cell and can differ from measured ones.

```
data_CeSb2Se4
_chemical_formula_sum 'Ce4 Sb8 Se16'
_cell_length_a 14.373
_cell_length_b 9.253
_cell_length_c 8.106
_cell_angle_alpha 90.00
_cell_angle_beta 101.99
_cell_angle_gamma 90.00
_symmetry_space_group_name_H-M 'C 1 2/m 1'
_symmetry_Int_Tables_number 12
loop_
_symmetry_equiv_pos_as_xyz
'x,y,z'
'-x,-y,-z'
'-x,y,-z'
'x,-y,z'
'x+1/2,y+1/2,z'
'-x+1/2,-y+1/2,-z'
'-x+1/2,y+1/2,-z'
'x+1/2,-y+1/2,z'
loop_
_atom_site_label
_atom_site_fract_x
_atom_site_fract_y
_atom_site_fract_z
_atom_site_occupancy
Ce1 0.136 0.000 0.126 1
Sb1 0.024 0.500 0.188 1
Sb2 0.222 0.000 0.562 1
Se1 0.041 0.000 0.791 1
Se2 0.166 0.308 0.225 1
Se3 0.173 0.500 0.659 1
```

Peak list (10 most intense, 2θ = 15–90°, sorted by position)
| two_theta | I (rel.) | index |
| --- | --- | --- |
| 15.01 | 1000 | 2 0 -1 |
| 19.18 | 943 | 0 2 0 |
| 26.79 | 339 | 2 2 1 |
| 28.03 | 445 | 2 0 2 |
| 32.96 | 441 | 5 1 -1 |
| 34.20 | 520 | 2 2 2 |
| 36.70 | 406 | 3 1 -3 |
| 38.93 | 268 | 0 4 0 |
| 43.28 | 400 | 5 3 -1 |
| 46.31 | 294 | 3 3 -3 |

Record 6
Computed X-ray powder pattern of Mn2NbN3 for Cu Kα (λ = 1.5418 Å), from a DFT-relaxed cell (PBE, the Materials Project).
Peak positions follow from Bragg's law for the DFT cell and can differ from measured ones.

```
data_Mn2NbN3
_chemical_formula_sum 'Mn8 Nb4 N12'
_cell_length_a 9.798
_cell_length_b 5.774
_cell_length_c 4.524
_cell_angle_alpha 90.00
_cell_angle_beta 90.00
_cell_angle_gamma 90.00
_symmetry_space_group_name_H-M 'C m c 21'
_symmetry_Int_Tables_number 36
loop_
_symmetry_equiv_pos_as_xyz
'x,y,z'
'-x,-y,z+1/2'
'-x,y,z'
'x,-y,z+1/2'
'x+1/2,y+1/2,z'
'-x+1/2,-y+1/2,z+1/2'
'-x+1/2,y+1/2,z'
'x+1/2,-y+1/2,z+1/2'
loop_
_atom_site_label
_atom_site_fract_x
_atom_site_fract_y
_atom_site_fract_z
_atom_site_occupancy
Mn1 0.179 0.202 0.000 1
Nb1 0.000 0.321 0.565 1
N1 0.000 0.317 0.070 1
N2 0.172 0.119 0.597 1
```

Peak list (10 most intense, 2θ = 15–90°, sorted by position)
| two_theta | I (rel.) | index |
| --- | --- | --- |
| 26.64 | 192 | 1 1 1 |
| 30.98 | 424 | 0 2 0 |
| 31.47 | 323 | 3 1 0 |
| 36.94 | 215 | 0 2 1 |
| 37.36 | 1000 | 3 1 1 |
| 39.86 | 401 | 0 0 2 |
| 51.32 | 159 | 0 2 2 |
| 55.41 | 248 | 3 3 0 |
| 56.34 | 148 | 6 0 0 |
| 70.42 | 214 | 3 3 2 |